This entry pairs a crystal structure of PaCu2Pd with its computed X-ray diffraction stick pattern. Radiation: λ = 1.5418 Å (Cu Kα). Structure: a DFT-relaxed cell (GGA-PBE, Alexandria).
Kinematic intensities with the Lorentz-polarization factor, no thermal factor.

Main lines, in order of rising 2θ (2θ = 10–90°):
- (1 0 2), 2θ = 22.33°, rel. 13.1
- (2 0 0), 2θ = 25.45°, rel. 13.4
- (2 1 1), 2θ = 35.25°, rel. 100.0
- (1 1 3), 2θ = 37.99°, rel. 78.9
- (1 0 4), 2θ = 39.38°, rel. 29.5
- (3 0 2), 2θ = 43.04°, rel. 24.9
- (0 2 0), 2θ = 45.12°, rel. 28.2
- (1 2 4), 2θ = 61.41°, rel. 16.1
- (3 2 2), 2θ = 64.12°, rel. 15.3
- (5 1 3), 2θ = 78.13°, rel. 14.6

Structure:
Cell: 6.999 4.019 9.684 Å, 90.00 90.00 90.00°
Space group Amm2 (No. 38)
One atom of each set of equivalent atoms:
Pa  0.000  0.000  0.000 (multiplicity 2)
Pa  0.500  0.000  0.143 (multiplicity 2)
Cu  0.000  0.000  0.295 (multiplicity 2)
Cu  0.310  0.000  0.428 (multiplicity 4)
Cu  0.500  0.000  0.861 (multiplicity 2)
Pd  0.204  0.000  0.695 (multiplicity 4)